Record 1
Calculated powder diffraction line list
Compound: K2LiBeP
Radiation: CuKα
Structure: a structure optimized by DFT (GGA-PBE)
Lines closer than 0.1° are merged.

The 10 most intense peaks (2θ from 10° to 90°), by intensity:
2θ/deg	I/Imax
26.78	100
35.31	60
22.59	52
13.30	43
29.58	38
38.24	35
44.87	28
54.13	23
18.85	22
49.07	16

Cell lengths 6.6572, 6.6572, 3.9364 Å; angles 90.00, 90.00, 90.00 degrees
Atoms (fractional coordinates):
1 K 0.0000 0.5000 0.0000
2 K 0.5000 0.0000 0.0000
3 Li 0.0000 0.0000 0.5000
4 Be 0.5000 0.5000 0.5000
5 P 0.5000 0.5000 0.0000

***

Record 2
Calculated powder diffraction line list
Compound: Cs3Pb2I4Br3
Radiation: CuKα
Structure: a structure optimized by DFT (GGA-PBE)
Lines closer than 0.1° are merged.

The 10 most intense peaks (2θ from 10° to 90°), by intensity:
2θ/deg	I/Imax
29.67	100
20.25	81
41.17	80
27.89	80
28.48	63
26.54	51
50.82	51
11.29	49
41.60	45
40.29	43

Cell lengths 16.2731, 16.2731, 16.2731 Å; angles 158.68, 31.32, 157.33 degrees
Atoms (fractional coordinates):
1 Cs 0.0000 0.0000 0.0000
2 Cs 0.0450 0.8676 0.1773
3 Cs 0.6903 0.8676 0.8227
4 Pb 0.2783 0.8765 0.4017
5 Pb 0.4748 0.8765 0.5983
6 I 0.1841 0.8835 0.3006
7 I 0.5829 0.8835 0.6994
8 I 0.7822 0.3734 0.4088
9 I 0.9645 0.3734 0.5912
10 Br 0.2577 0.3573 0.9004
11 Br 0.3591 0.8591 0.5000
12 Br 0.4570 0.3573 0.0996

***

Record 3
Calculated powder diffraction line list
Compound: Sc3Zn2In2Au4
Radiation: CuKα
Structure: a structure optimized by DFT (GGA-PBE)
Lines closer than 0.1° are merged.

The 10 most intense peaks (2θ from 10° to 90°), by intensity:
2θ/deg	I/Imax
39.99	100
36.35	69
22.77	49
26.76	48
49.49	36
27.95	28
31.08	24
48.75	23
42.29	22
72.61	21

Cell lengths 4.5096, 4.5096, 12.7681 Å; angles 90.00, 90.00, 120.00 degrees
Atoms (fractional coordinates):
1 Sc 0.0000 0.0000 0.0000
2 Sc 0.0000 0.0000 0.2472
3 Sc 0.0000 0.0000 0.7528
4 Zn 0.3333 0.6667 0.1279
5 Zn 0.6667 0.3333 0.8721
6 In 0.3333 0.6667 0.5732
7 In 0.6667 0.3333 0.4268
8 Au 0.3333 0.6667 0.3449
9 Au 0.3333 0.6667 0.8832
10 Au 0.6667 0.3333 0.1168
11 Au 0.6667 0.3333 0.6551

***

Record 4
Calculated powder diffraction line list
Compound: Pm5Si5Pt2
Radiation: CuKα
Structure: a structure optimized by DFT (GGA-PBE)
Lines closer than 0.1° are merged.

The 10 most intense peaks (2θ from 10° to 90°), by intensity:
2θ/deg	I/Imax
32.44	100
33.53	52
40.38	44
42.41	35
24.93	30
22.40	28
55.11	26
35.56	25
33.96	24
31.57	24

Cell lengths 6.1617, 6.1617, 11.3816 Å; angles 108.76, 108.76, 40.48 degrees
Atoms (fractional coordinates):
1 Pm 0.0000 0.0000 0.0000
2 Pm 0.3435 0.3435 0.5043
3 Pm 0.3796 0.3796 0.2280
4 Pm 0.6204 0.6204 0.7720
5 Pm 0.6565 0.6565 0.4957
6 Si 0.0000 0.0000 0.5000
7 Si 0.0985 0.0985 0.2864
8 Si 0.2764 0.2764 0.9540
9 Si 0.7236 0.7236 0.0460
10 Si 0.9015 0.9015 0.7136
11 Pt 0.3328 0.3328 0.7687
12 Pt 0.6672 0.6672 0.2313

***

Record 5
Calculated powder diffraction line list
Compound: Cs2Sn2S2O
Radiation: CuKα
Structure: a structure optimized by DFT (GGA-PBE)
Lines closer than 0.1° are merged.

The 10 most intense peaks (2θ from 10° to 90°), by intensity:
2θ/deg	I/Imax
23.13	100
21.89	93
31.52	86
27.36	79
28.81	78
23.53	56
44.41	37
33.04	31
32.59	30
35.59	29

Cell lengths 6.1276, 6.6231, 7.1110 Å; angles 106.92, 101.41, 104.46 degrees
Atoms (fractional coordinates):
1 Cs 0.2349 0.0991 0.2934
2 Cs 0.7651 0.9009 0.7066
3 Sn 0.2506 0.5460 0.8516
4 Sn 0.7494 0.4540 0.1484
5 S 0.3750 0.1936 0.8380
6 S 0.6250 0.8064 0.1620
7 O 0.0000 0.5000 0.0000

***

Record 6
Calculated powder diffraction line list
Compound: CsCd6Sb4
Radiation: CuKα
Structure: a structure optimized by DFT (GGA-PBE)
Lines closer than 0.1° are merged.

The 10 most intense peaks (2θ from 10° to 90°), by intensity:
2θ/deg	I/Imax
35.76	100
23.64	50
64.25	28
40.67	23
51.46	21
43.32	20
25.86	16
86.71	12
75.76	11
28.09	10

Cell lengths 14.6446, 14.6446, 14.6446 Å; angles 160.25, 160.25, 28.07 degrees
Atoms (fractional coordinates):
1 Cs 0.0000 0.0000 0.0000
2 Cd 0.1304 0.6304 0.5000
3 Cd 0.2500 0.7500 0.5000
4 Cd 0.3696 0.8696 0.5000
5 Cd 0.6304 0.1304 0.5000
6 Cd 0.7500 0.2500 0.5000
7 Cd 0.8696 0.3696 0.5000
8 Sb 0.1938 0.1938 0.0000
9 Sb 0.4235 0.4235 0.0000
10 Sb 0.5765 0.5765 0.0000
11 Sb 0.8062 0.8062 0.0000